# 1
For Rb4TeN2, a structure optimized by DFT (GGA-PBE) gives the simulated powder X-ray diffraction pattern in this record (Cu Kα).

Most intense lines, 15 to 90 degrees two-theta, low angle first:
2θ (°)	intensity
16.74	77
24.49	65
26.77	100
28.08	87
31.74	94
32.17	44
40.38	35
43.67	33

abc: 9.0055 9.0055 9.0055
angles: 112.59 107.93 107.93
Atoms (fractional coordinates):
Rb  0.0777  0.1195  0.0407
Rb  0.0785  0.9591  0.5369
Rb  0.4215  0.9584  0.8805
Rb  0.4223  0.4631  0.0418
Rb  0.5778  0.5409  0.6195
Rb  0.5787  0.0369  0.4593
Rb  0.9213  0.3805  0.4582
Rb  0.9222  0.5416  0.9631
Te  0.2500  0.6250  0.3750
Te  0.7500  0.8750  0.1250
N  0.0000  0.2500  0.7500
N  0.5000  0.2500  0.2500
N  0.5010  0.2500  0.7510
N  0.9990  0.7500  0.7490

***

# 2
For Pr2FeSi5, a structure optimized by DFT (GGA-PBE) gives the simulated powder X-ray diffraction pattern in this record (Cu Kα).

Most intense lines, 15 to 90 degrees two-theta, low angle first:
2θ (°)	intensity
21.70	38
29.32	100
30.88	31
36.77	74
44.23	36
45.57	23
53.96	32
60.83	21

abc: 6.1260 6.1260 6.1260
angles: 123.58 123.58 83.91
Atoms (fractional coordinates):
Pr  0.0000  0.5000  0.5000
Pr  0.5000  0.0000  0.5000
Fe  0.1965  0.1965  0.0000
Si  0.5271  0.5271  0.5650
Si  0.5271  0.9621  0.0000
Si  0.9447  0.9447  0.0000
Si  0.9621  0.5271  0.0000
Si  0.9621  0.9621  0.4350

***

# 3
For Na8B13C3, a structure optimized by DFT (GGA-PBE) gives the simulated powder X-ray diffraction pattern in this record (Cu Kα).

Most intense lines, 15 to 90 degrees two-theta, low angle first:
2θ (°)	intensity
34.20	9
35.85	12
40.20	36
41.65	100
62.32	13
76.02	11
77.78	13
79.70	7

abc: 8.6724 5.9680 5.9680
angles: 57.07 90.00 90.00
Atoms (fractional coordinates):
Na  0.2483  0.0000  0.0000
Na  0.2488  0.5011  0.5011
Na  0.2504  0.0006  0.5002
Na  0.2504  0.5002  0.0006
Na  0.7496  0.0006  0.5002
Na  0.7496  0.5002  0.0006
Na  0.7512  0.5011  0.5011
Na  0.7517  0.0000  0.0000
B  0.0000  0.1747  0.6744
B  0.0000  0.3174  0.3174
B  0.0000  0.3402  0.8401
B  0.0000  0.6744  0.1747
B  0.0000  0.8173  0.8173
B  0.0000  0.8401  0.3402
B  0.5000  0.1750  0.6486
B  0.5000  0.1816  0.1816
B  0.5000  0.3210  0.8326
B  0.5000  0.6486  0.1750
B  0.5000  0.6742  0.6742
B  0.5000  0.8326  0.3210
B  0.5000  0.8363  0.8363
C  0.0000  0.1687  0.1687
C  0.0000  0.6688  0.6688
C  0.5000  0.3325  0.3325

***

# 4
For Cs3TcSe4, a structure optimized by DFT (GGA-PBE) gives the simulated powder X-ray diffraction pattern in this record (Cu Kα).

Most intense lines, 15 to 90 degrees two-theta, low angle first:
2θ (°)	intensity
22.08	100
24.60	47
25.75	54
26.26	94
27.82	50
28.69	46
31.55	77
47.88	54

abc: 13.8377 6.7875 7.2389
angles: 90.00 90.00 90.00
Atoms (fractional coordinates):
Cs  0.0000  0.1979  0.0000
Cs  0.2468  0.2547  0.3656
Cs  0.2532  0.7453  0.8656
Cs  0.5000  0.8021  0.5000
Cs  0.7468  0.7453  0.8656
Cs  0.7532  0.2547  0.3656
Tc  0.0000  0.8397  0.4868
Tc  0.5000  0.1603  0.9868
Se  0.0000  0.1848  0.5136
Se  0.0000  0.7097  0.7878
Se  0.1447  0.7548  0.3297
Se  0.3553  0.2452  0.8297
Se  0.5000  0.2903  0.2878
Se  0.5000  0.8152  0.0136
Se  0.6447  0.2452  0.8297
Se  0.8553  0.7548  0.3297

***

# 5
For Mg8Sn2Au3, a structure optimized by DFT (GGA-PBE) gives the simulated powder X-ray diffraction pattern in this record (Cu Kα).

Most intense lines, 15 to 90 degrees two-theta, low angle first:
2θ (°)	intensity
23.11	94
25.77	49
27.26	85
37.78	100
37.95	99
38.93	93
56.22	34
69.91	33

abc: 8.2969 4.6245 8.3447
angles: 90.00 112.38 90.00
Atoms (fractional coordinates):
Mg  0.1148  0.0000  0.3869
Mg  0.1296  0.5000  0.8721
Mg  0.3700  0.5000  0.6314
Mg  0.3757  0.0000  0.1249
Mg  0.6243  0.0000  0.8751
Mg  0.6300  0.5000  0.3686
Mg  0.8704  0.5000  0.1279
Mg  0.8852  0.0000  0.6131
Sn  0.2447  0.5000  0.2583
Sn  0.7553  0.5000  0.7417
Au  0.2519  0.0000  0.7532
Au  0.5000  0.5000  0.0000
Au  0.7481  0.0000  0.2468

***

# 6
For NaPtCl4, a structure optimized by DFT (GGA-PBE) gives the simulated powder X-ray diffraction pattern in this record (Cu Kα).

Most intense lines, 15 to 90 degrees two-theta, low angle first:
2θ (°)	intensity
15.51	73
27.30	100
31.32	44
32.68	95
42.33	51
45.90	55
48.25	35
58.63	33

abc: 6.9674 6.9674 7.5390
angles: 90.06 90.06 69.87
Atoms (fractional coordinates):
Na  0.0000  0.5000  0.0000
Na  0.5000  0.0000  0.5000
Pt  0.9998  0.0002  0.2500
Pt  0.0002  0.9998  0.7500
Cl  0.2042  0.2049  0.2505
Cl  0.2049  0.2042  0.7505
Cl  0.2073  0.7925  0.4999
Cl  0.2075  0.7927  0.0001
Cl  0.7925  0.2073  0.9999
Cl  0.7927  0.2075  0.5001
Cl  0.7951  0.7958  0.2495
Cl  0.7958  0.7951  0.7495

***

# 7
For Tm4Bi, a structure optimized by DFT (GGA-PBE) gives the simulated powder X-ray diffraction pattern in this record (Cu Kα).

Most intense lines, 15 to 90 degrees two-theta, low angle first:
2θ (°)	intensity
19.13	31
27.51	45
30.47	45
30.76	100
31.31	86
36.88	47
37.02	45
39.07	48

abc: 7.5589 7.5335 9.2780
angles: 52.19 51.94 75.87
Atoms (fractional coordinates):
Tm  0.1715  0.2888  0.9586
Tm  0.2888  0.1715  0.5811
Tm  0.2914  0.6689  0.0785
Tm  0.3117  0.6883  0.4426
Tm  0.6689  0.2914  0.9612
Tm  0.6883  0.3117  0.5574
Tm  0.6926  0.8074  0.5617
Tm  0.8074  0.6926  0.9383
Bi  0.1151  0.1151  0.3849
Bi  0.8651  0.8651  0.1349